Simulated powder diffraction line list of MnSiRh for Cu Kα, from a DFT-relaxed cell (PBE, Alexandria).

Peak list (10 most intense, 15 to 90 degrees two-theta, in order of falling intensity)
(hkl)  two_theta  d (Å)  Rel. int.
2 1 1  40.24  2.241  100.0
1 1 2  37.35  2.408  90.2
2 1 0  38.19  2.357  74.3
1 1 1  30.36  2.944  73.9
0 1 3  44.35  2.042  71.8
0 2 0  47.58  1.911  56.4
3 0 1  47.25  1.924  47.2
3 2 1  69.31  1.356  40.1
3 1 4  75.04  1.266  35.2
1 0 1  19.23  4.616  31.6

Structural model:
Lattice parameters (Å, degrees): 5.986 3.822 7.249 90.00 90.00 90.00
Element x y z (fractional)
Mn (0.031, 0.250, 0.182)
Mn (0.469, 0.750, 0.682)
Mn (0.531, 0.250, 0.318)
Mn (0.969, 0.750, 0.818)
Si (0.237, 0.750, 0.378)
Si (0.263, 0.250, 0.878)
Si (0.737, 0.750, 0.122)
Si (0.763, 0.250, 0.622)
Rh (0.162, 0.250, 0.564)
Rh (0.338, 0.750, 0.064)
Rh (0.662, 0.250, 0.936)
Rh (0.838, 0.750, 0.436)